Entry 1:
The following is a theoretical X-ray powder pattern of Li2FeBPO7. It was derived from DFT lattice parameters and positions (GGA+U), using a wavelength of 1.5418 Å.

Crystal structure
```
24
Lattice="5.1286 0.0000 0.0000 0.0000 6.4283 0.0000 -0.5451 0.0000 8.5060" Properties=species:S:1:pos:R:3 pbc="T T T"
Li 1.0122 0.1178 2.4049
Li 1.0122 3.0963 2.4049
Li 3.5712 3.3320 6.1011
Li 3.5712 6.3105 6.1011
Fe 0.6645 4.8212 7.1584
Fe 3.9190 1.6071 1.3476
B 1.0672 4.8212 4.7231
B 3.5163 1.6071 3.7829
P 0.8692 1.6071 7.8669
P 3.7142 4.8212 0.6391
O -0.1956 4.8212 5.2956
O 0.7024 1.6071 0.7500
O 0.4787 0.3745 7.0371
O 0.4787 2.8396 7.0371
O 1.2692 4.8212 3.3982
O 2.1762 4.8212 0.3366
O 2.0638 4.8212 5.6947
O 2.5197 1.6071 2.8113
O 2.4073 1.6071 8.1693
O 3.3143 1.6071 5.1078
O 4.1047 3.5887 1.4689
O 4.1047 6.0538 1.4689
O 3.8811 4.8212 7.7559
O 4.7790 1.6071 3.2104
```

Top 10 peaks for 5° ≤ 2θ ≤ 70°, in order of rising 2θ:
| 2θ/deg | intensity |
| --- | --- |
| 10.40 | 100.0 |
| 17.29 | 43.1 |
| 19.66 | 26.3 |
| 20.82 | 28.6 |
| 22.20 | 13.9 |
| 25.05 | 14.8 |
| 26.38 | 38.1 |
| 27.76 | 56.7 |
| 28.12 | 15.3 |
| 39.88 | 15.5 |



Entry 2:
The following is a theoretical X-ray powder pattern of RbLi2Fe2B3O9. It was derived from DFT lattice parameters and positions (GGA+U), using a wavelength of 1.5418 Å.

Crystal structure
```
34
Lattice="6.4463 0.0000 0.0000 0.0000 5.0828 0.0000 -0.3170 0.0000 13.0549" Properties=species:S:1:pos:R:3 pbc="T T T"
Rb -0.0792 1.0587 3.2637
Rb -0.2377 4.0241 9.7912
Li 3.0907 0.8759 4.7701
Li 2.9322 4.2069 11.2976
Li 3.1971 0.8759 1.7573
Li 3.0386 4.2069 8.2848
Fe 1.3317 1.6045 7.3541
Fe 1.4902 3.4783 0.8266
Fe 4.6391 1.6045 12.2283
Fe 4.7976 3.4783 5.7008
B 0.9638 0.9260 12.5022
B 1.1223 4.1568 5.9747
B 2.9854 1.6914 9.7912
B 3.1439 3.3914 3.2637
B 5.0070 0.9260 7.0802
B 5.1655 4.1568 0.5527
O 0.0130 1.5087 11.6837
O 0.1715 3.5741 5.1562
O 1.4219 0.4329 5.8404
O 1.2634 4.6499 12.3679
O 1.9258 1.6565 0.4317
O 1.7673 3.4263 6.9592
O 2.3818 0.9231 8.7730
O 2.5403 4.1598 2.2456
O 3.1439 2.0421 3.2637
O 2.9854 3.0407 9.7912
O 3.5890 0.9231 10.8094
O 3.7475 4.1598 4.2819
O 4.3620 1.6565 6.0958
O 4.2035 3.4263 12.6232
O 4.8659 0.4329 0.6871
O 4.7074 4.6499 7.2145
O 5.9578 1.5087 7.8987
O 6.1163 3.5741 1.3713
```

Top 10 peaks for 5° ≤ 2θ ≤ 70°, in order of rising 2θ:
| 2θ/deg | intensity |
| --- | --- |
| 13.74 | 18.6 |
| 19.59 | 24.1 |
| 23.21 | 65.1 |
| 26.97 | 76.6 |
| 30.16 | 29.5 |
| 30.64 | 100.0 |
| 31.25 | 33.7 |
| 35.31 | 27.4 |
| 35.80 | 25.4 |
| 57.84 | 22.5 |



Entry 3:
The following is a theoretical X-ray powder pattern of Li6Fe2B4SO16. It was derived from DFT lattice parameters and positions (GGA+U), using a wavelength of 1.5418 Å.

Crystal structure
```
58
Lattice="0.0000 6.7115 6.7115 6.7115 0.0000 6.7115 6.7115 6.7115 0.0000" Properties=species:S:1:pos:R:3 pbc="T T T"
Li 5.0336 5.0336 1.2678
Li 5.0336 1.2678 5.0336
Li 8.7995 5.0336 5.0336
Li 8.3894 8.3894 4.6236
Li 8.3894 4.6236 8.3894
Li 12.1552 8.3894 8.3894
Li 1.2678 5.0336 5.0336
Li 5.0336 8.7995 5.0336
Li 5.0336 5.0336 8.7995
Li 4.6236 8.3894 8.3894
Li 8.3894 12.1552 8.3894
Li 8.3894 8.3894 12.1552
Fe 6.7115 3.3558 3.3558
Fe 3.3558 6.7115 3.3558
Fe 3.3558 3.3558 6.7115
Fe 6.7115 6.7115 6.7115
B 3.7807 3.7807 3.7807
B 6.2865 6.2865 3.7807
B 6.2865 3.7807 6.2865
B 9.6423 7.1365 7.1365
B 3.7807 6.2865 6.2865
B 7.1365 9.6423 7.1365
B 7.1365 7.1365 9.6423
B 9.6423 9.6423 9.6423
S 1.6779 1.6779 1.6779
S 11.7451 11.7451 11.7451
O 0.8144 0.8144 0.8144
O 2.5414 2.5414 0.8144
O 2.5414 0.8144 2.5414
O 6.3862 5.2790 2.8499
O 4.7883 2.8499 3.6811
O 7.2174 3.6811 5.2790
O 3.6811 4.7883 2.8499
O 7.2174 6.3862 4.7883
O 5.2790 2.8499 6.3862
O 0.8144 2.5414 2.5414
O 9.7420 8.1441 6.2056
O 8.6347 6.2056 7.0368
O 10.5732 7.0368 8.1441
O 5.2790 7.2174 3.6811
O 2.8499 3.6811 4.7883
O 6.3862 4.7883 7.2174
O 7.0368 8.6347 6.2056
O 10.5732 9.7420 8.6347
O 8.1441 6.2056 9.7420
O 2.8499 6.3862 5.2790
O 4.7883 7.2174 6.3862
O 3.6811 5.2790 7.2174
O 12.6087 10.8816 10.8816
O 8.1441 10.5732 7.0368
O 6.2056 7.0368 8.6347
O 9.7420 8.6347 10.5732
O 6.2056 9.7420 8.1441
O 8.6347 10.5732 9.7420
O 7.0368 8.1441 10.5732
O 10.8816 12.6087 10.8816
O 10.8816 10.8816 12.6087
O 12.6087 12.6087 12.6087
```

Top 10 peaks for 5° ≤ 2θ ≤ 70°, in order of rising 2θ:
| 2θ/deg | intensity |
| --- | --- |
| 11.42 | 42.9 |
| 18.70 | 15.1 |
| 21.96 | 100.0 |
| 22.95 | 16.2 |
| 26.56 | 21.9 |
| 34.73 | 30.6 |
| 37.92 | 22.4 |
| 39.73 | 30.6 |
| 44.79 | 17.2 |
| 59.65 | 19.9 |



Entry 4:
The following is a theoretical X-ray powder pattern of Li3FeSiBO7. It was derived from DFT lattice parameters and positions (GGA+U), using a wavelength of 1.5418 Å.

Crystal structure
```
26
Lattice="5.0657 0.0000 0.0000 0.0000 6.3677 0.0000 -0.6642 0.0000 8.4173" Properties=species:S:1:pos:R:3 pbc="T T T"
Li 1.0652 0.0262 2.1778
Li 1.0652 3.1576 2.1778
Li 0.8501 1.5919 5.1120
Li 3.5514 4.7758 3.3053
Li 3.3363 3.2100 6.2395
Li 3.3363 6.3415 6.2395
Fe 0.4727 4.7758 6.9899
Fe 3.9288 1.5919 1.4273
Si 0.7764 1.5919 7.7858
Si 3.6251 4.7758 0.6315
B 0.9888 4.7758 4.5375
B 3.4126 1.5919 3.8798
O -0.3384 4.7758 4.8931
O 0.6855 1.5919 0.8231
O 0.3473 0.3592 6.7800
O 0.3473 2.8247 6.7800
O 1.5225 4.7758 3.2920
O 2.0185 4.7758 0.3032
O 1.8804 4.7758 5.6386
O 2.5210 1.5919 2.7787
O 2.3830 1.5919 8.1141
O 2.8790 1.5919 5.1253
O 4.0541 3.5430 1.6373
O 4.0541 6.0085 1.6373
O 3.7160 4.7758 7.5942
O 4.7399 1.5919 3.5242
```

Top 10 peaks for 5° ≤ 2θ ≤ 70°, in order of rising 2θ:
| 2θ/deg | intensity |
| --- | --- |
| 10.51 | 94.9 |
| 17.47 | 59.6 |
| 19.78 | 45.7 |
| 21.22 | 54.4 |
| 25.45 | 24.2 |
| 26.48 | 43.5 |
| 28.03 | 100.0 |
| 35.37 | 26.7 |
| 36.33 | 23.6 |
| 40.54 | 28.8 |



Entry 5:
The following is a theoretical X-ray powder pattern of Mg14FeBO16. It was derived from DFT lattice parameters and positions (GGA+U), using a wavelength of 1.5418 Å.

Crystal structure
```
32
Lattice="4.2869 0.0000 0.0000 0.0000 8.4577 0.0000 0.0000 0.0000 8.5634" Properties=species:S:1:pos:R:3 pbc="T T T"
Mg 0.0000 0.0000 0.0000
Mg 0.0000 2.0567 2.1219
Mg 0.0000 2.0567 6.4415
Mg 0.0000 4.2288 0.0000
Mg 0.0000 6.4010 2.1219
Mg 0.0000 6.4010 6.4415
Mg 2.1435 0.0000 2.1618
Mg 2.1435 0.0000 6.4017
Mg 2.1435 2.0410 4.2817
Mg 2.1435 2.1143 0.0000
Mg 2.1435 4.2288 2.1830
Mg 2.1435 4.2288 6.3804
Mg 2.1435 6.3434 0.0000
Mg 2.1435 6.4167 4.2817
Fe 0.0000 4.2288 4.2817
B 0.0000 0.0000 4.2817
O 0.0000 0.0000 2.0196
O 0.0000 0.0000 6.5439
O 0.0000 1.3810 4.2817
O 0.0000 2.1491 0.0000
O 0.0000 4.2288 2.1757
O 0.0000 4.2288 6.3878
O 0.0000 6.3086 0.0000
O 0.0000 7.0767 4.2817
O 2.1435 0.0000 0.0000
O 2.1435 0.0000 4.2817
O 2.1435 2.1166 2.1738
O 2.1435 2.1166 6.3897
O 2.1435 4.2288 0.0000
O 2.1435 4.2288 4.2817
O 2.1435 6.3411 2.1738
O 2.1435 6.3411 6.3897
```

Top 10 peaks for 5° ≤ 2θ ≤ 70°, in order of rising 2θ:
| 2θ/deg | intensity |
| --- | --- |
| 14.72 | 3.2 |
| 31.74 | 2.6 |
| 33.46 | 4.2 |
| 36.48 | 21.7 |
| 38.21 | 3.9 |
| 39.69 | 3.4 |
| 42.19 | 100.0 |
| 42.77 | 40.9 |
| 61.19 | 28.0 |
| 61.63 | 47.3 |



Entry 6:
The following is a theoretical X-ray powder pattern of Mg2FeBO5. It was derived from DFT lattice parameters and positions (GGA+U), using a wavelength of 1.5418 Å.

Crystal structure
```
36
Lattice="9.3732 0.0000 0.0000 0.0000 12.4258 0.0000 0.0000 0.0000 3.0433" Properties=species:S:1:pos:R:3 pbc="T T T"
Mg 0.0000 0.0000 0.0000
Mg 0.0000 6.2129 1.5217
Mg 0.0075 2.7126 1.5217
Mg 4.6791 8.9255 1.5217
Mg 4.6866 0.0000 1.5217
Mg 4.6866 6.2129 0.0000
Mg 4.6942 3.5003 1.5217
Mg 9.3657 9.7132 1.5217
Fe 2.2433 4.7769 0.0000
Fe 2.4434 10.9898 0.0000
Fe 6.9299 1.4360 0.0000
Fe 7.1300 7.6489 0.0000
B 2.1370 7.9509 0.0000
B 2.5496 1.7380 0.0000
B 6.8236 10.6879 0.0000
B 7.2363 4.4750 0.0000
O 1.0082 4.4330 1.5217
O 1.1015 11.4761 1.5217
O 1.1675 1.7653 0.0000
O 1.4110 6.7523 0.0000
O 1.4146 9.1531 0.0000
O 3.2756 0.5394 0.0000
O 3.2720 2.9401 0.0000
O 3.5191 7.9782 0.0000
O 3.5852 5.2632 1.5217
O 3.6785 10.6459 1.5217
O 5.6948 1.7800 1.5217
O 5.7881 7.1626 1.5217
O 5.8541 4.4476 0.0000
O 6.1013 9.4857 0.0000
O 6.0976 11.8865 0.0000
O 7.9586 3.2728 0.0000
O 7.9622 5.6735 0.0000
O 8.2058 10.6606 0.0000
O 8.2718 0.9497 1.5217
O 8.3651 7.9929 1.5217
```

Top 10 peaks for 5° ≤ 2θ ≤ 70°, in order of rising 2θ:
| 2θ/deg | intensity |
| --- | --- |
| 17.12 | 100.0 |
| 29.35 | 20.7 |
| 34.64 | 69.6 |
| 35.16 | 83.1 |
| 41.11 | 23.5 |
| 41.55 | 18.9 |
| 44.02 | 57.9 |
| 57.86 | 29.6 |
| 60.88 | 22.8 |
| 61.25 | 19.5 |